# NdAl4Cu4
Computed X-ray powder pattern, Cu Kα. Input: the PBE geometry in Alexandria.
Neutral-atom scattering factors, no anomalous dispersion.

Structural model:
a = 5.9320 Å, b = 5.9320 Å, c = 8.4362 Å
α = 90.00°, β = 90.00°, γ = 90.00°
Element x y z (fractional)
Nd: 0.2500 0.7500 0.2500
Nd: 0.7500 0.2500 0.7500
Al: 0.0156 0.2500 0.1442
Al: 0.2500 0.0156 0.6442
Al: 0.2500 0.4844 0.6442
Al: 0.4844 0.2500 0.1442
Al: 0.5156 0.7500 0.8558
Al: 0.7500 0.5156 0.3558
Al: 0.7500 0.9844 0.3558
Al: 0.9844 0.7500 0.8558
Cu: 0.0452 0.2500 0.4391
Cu: 0.2500 0.0452 0.9391
Cu: 0.2500 0.4548 0.9391
Cu: 0.4548 0.2500 0.4391
Cu: 0.5452 0.7500 0.5609
Cu: 0.7500 0.5452 0.0609
Cu: 0.7500 0.9548 0.0609
Cu: 0.9548 0.7500 0.5609

Most intense lines, 2θ = 10–80°, by intensity:
hkl	two_theta	I (rel.)
2 1 1	35.47	100.0
1 1 2	30.07	66.9
1 0 3	35.32	53.5
2 2 2	48.49	43.1
2 0 1	31.99	31.5
3 0 3	56.93	30.8